Ho2FeB4Ir4: simulated powder XRD pattern (λ = 1.5418 Å (Cu Kα)), based on a DFT-relaxed cell (PBE, OQMD).
Lines closer than 0.1° are merged.

Structural model:
Lattice parameters (Å, degrees): 5.454 9.385 11.381 90.00 90.00 90.00
Space group Fmmm (No. 69)
One atom of each set of equivalent atoms:
Ho  0.000  0.000  0.137 x8
Fe  0.000  0.000  0.500 x4
B  0.000  0.146  0.369 x16
Ir  0.250  0.250  0.000 x8
Ir  0.250  0.250  0.250 x8

Largest 6 diffraction maxima, in order of rising 2θ, 2θ = 15–90°:
| Position (°2θ) | d [Å] | intensity | hkl |
| --- | --- | --- | --- |
| 18.91 | 4.692 | 32 | 0 2 0 |
| 36.95 | 2.433 | 85 | 0 2 4 |
| 38.17 | 2.358 | 100 | 2 2 0 |
| 38.37 | 2.346 | 48 | 0 4 0 |
| 46.10 | 1.969 | 49 | 2 0 4 |
| 61.48 | 1.508 | 38 | 2 4 4 |